This entry pairs a crystal structure of LiPuNiO6 with its computed X-ray diffraction stick pattern. Radiation: a wavelength of 1.5418 Å. Structure: a PBE+U-relaxed structure.
No peak broadening, texture or thermal motion is included.

Structural model:
a = 4.7708 Å, b = 4.7708 Å, c = 9.0185 Å
α = 90.00°, β = 90.00°, γ = 90.00°
Space group P4_2nm (No. 102)
Inequivalent atoms, fractional coordinates:
1 Li 0.0000 0.0000 0.0000 (multiplicity 2)
2 Pu 0.0000 0.0000 0.6638 (multiplicity 2)
3 Ni 0.0000 0.0000 0.3258 (multiplicity 2)
4 O 0.1817 0.1817 0.4925 (multiplicity 4)
5 O 0.1914 0.1914 0.8213 (multiplicity 4)
6 O 0.1975 0.1975 0.1722 (multiplicity 4)

The 10 most intense peaks (5 to 70 degrees two-theta), by intensity:
Position (°2θ)	intensity
21.07	100
26.42	71
35.29	47
52.60	45
33.17	33
19.69	31
43.59	31
54.39	21
42.89	16
37.71	15